For Tb4SiS3, a crystal structure in Alexandria, relaxed with GGA-PBE gives the calculated X-ray powder pattern in this record (Cu Kα X-rays).
Intensities are scaled so that the largest is 100.

The 6 most intense peaks (10° ≤ 2θ ≤ 80°), by intensity:
2θ = 31.77°, I 100
2θ = 27.42°, I 83
2θ = 45.54°, I 73
2θ = 53.98°, I 41
2θ = 75.46°, I 32
2θ = 56.59°, I 25

Cell and atoms:
```
Tb4SiS3
1.0
5.6339 0.0000 0.0000
0.0000 5.6339 0.0000
0.0000 0.0000 5.6339
Tb Si S
4 1 3
Direct
0.0000 0.0000 0.0000
0.0000 0.5000 0.5000
0.5000 0.0000 0.5000
0.5000 0.5000 0.0000
0.5000 0.5000 0.5000
0.0000 0.0000 0.5000
0.0000 0.5000 0.0000
0.5000 0.0000 0.0000
```



For Tb5SiS4, a crystal structure in Alexandria, relaxed with GGA-PBE gives the calculated X-ray powder pattern in this record (Cu Kα X-rays).
Intensities are scaled so that the largest is 100.

The 6 most intense peaks (10° ≤ 2θ ≤ 80°), by intensity:
2θ = 27.45°, I 100
2θ = 31.76°, I 81
2θ = 45.64°, I 58
2θ = 31.90°, I 40
2θ = 53.99°, I 33
2θ = 56.67°, I 30

Cell and atoms:
```
Tb5SiS4
1.0
-4.4551 4.4551 2.8051
4.4551 -4.4551 2.8051
4.4551 4.4551 -2.8051
Tb Si S
5 1 4
Direct
0.0000 0.0000 0.0000
0.2020 0.5988 0.8008
0.4012 0.2020 0.6032
0.5988 0.7980 0.3968
0.7980 0.4012 0.1992
0.5000 0.5000 0.0000
0.1004 0.3016 0.4019
0.3016 0.8996 0.2012
0.6984 0.1004 0.7988
0.8996 0.6984 0.5981
```



For TbTmSiS, a crystal structure in Alexandria, relaxed with GGA-PBE gives the calculated X-ray powder pattern in this record (Cu Kα X-rays).
Intensities are scaled so that the largest is 100.

The 6 most intense peaks (10° ≤ 2θ ≤ 80°), by intensity:
2θ = 31.53°, I 100
2θ = 27.31°, I 66
2θ = 44.96°, I 37
2θ = 45.43°, I 36
2θ = 26.95°, I 23
2θ = 53.62°, I 21

Cell and atoms:
```
TbTmSiS
1.0
1.9964 1.1526 6.6175
-1.9964 1.1526 6.6175
0.0000 -2.3052 6.6175
Tb Tm Si S
1 1 1 1
Direct
0.0000 0.0000 0.0000
0.5012 0.5012 0.5012
0.2491 0.2491 0.2491
0.7525 0.7525 0.7525
```



For Th5SiS4, a crystal structure in Alexandria, relaxed with GGA-PBE gives the calculated X-ray powder pattern in this record (Cu Kα X-rays).
Intensities are scaled so that the largest is 100.

The 6 most intense peaks (10° ≤ 2θ ≤ 80°), by intensity:
2θ = 30.91°, I 100
2θ = 26.49°, I 54
2θ = 26.89°, I 52
2θ = 44.30°, I 50
2θ = 73.18°, I 23
2θ = 52.09°, I 18

Cell and atoms:
```
Th5SiS4
1.0
-2.0697 2.8892 10.1221
2.0697 -2.8892 10.1221
2.0697 2.8892 -10.1221
Th Si S
5 1 4
Direct
0.0000 0.0000 0.0000
0.2001 0.2001 0.0000
0.3978 0.3978 0.0000
0.6022 0.6022 0.0000
0.7999 0.7999 0.0000
0.5000 0.0000 0.5000
0.1003 0.6003 0.5000
0.2976 0.7976 0.5000
0.7024 0.2024 0.5000
0.8997 0.3997 0.5000
```



For ThSi2S6, a crystal structure in Alexandria, relaxed with GGA-PBE gives the calculated X-ray powder pattern in this record (Cu Kα X-rays).
Intensities are scaled so that the largest is 100.

The 6 most intense peaks (10° ≤ 2θ ≤ 80°), by intensity:
2θ = 15.89°, I 100
2θ = 20.23°, I 81
2θ = 11.03°, I 67
2θ = 23.35°, I 59
2θ = 29.41°, I 44
2θ = 14.81°, I 40

Cell and atoms:
```
ThSi2S6
1.0
6.4201 -5.4057 0.0000
6.4201 5.4057 0.0000
-2.3956 0.0000 6.1465
Th Si S
2 4 12
Direct
0.1618 0.8382 0.7500
0.8382 0.1618 0.2500
0.2285 0.3701 0.7698
0.3701 0.2285 0.2698
0.6299 0.7715 0.7302
0.7715 0.6299 0.2302
0.0612 0.1804 0.6582
0.1309 0.5981 0.9372
0.1804 0.0612 0.1582
0.2831 0.4438 0.5082
0.4019 0.8691 0.5628
0.4438 0.2831 0.0082
0.5562 0.7169 0.9918
0.5981 0.1309 0.4372
0.7169 0.5562 0.4918
0.8196 0.9388 0.8418
0.8691 0.4019 0.0628
0.9388 0.8196 0.3418
```



For Tl4SiS4, a crystal structure in Alexandria, relaxed with GGA-PBE gives the calculated X-ray powder pattern in this record (Cu Kα X-rays).
Intensities are scaled so that the largest is 100.

The 6 most intense peaks (10° ≤ 2θ ≤ 80°), by intensity:
2θ = 25.18°, I 100
2θ = 23.89°, I 97
2θ = 27.21°, I 91
2θ = 34.31°, I 82
2θ = 28.70°, I 76
2θ = 21.48°, I 68

Cell and atoms:
```
Tl4SiS4
1.0
6.4645 -5.8234 0.0000
6.4645 5.8234 0.0000
-3.1765 0.0000 7.0731
Tl Si S
8 2 8
Direct
0.0092 0.9908 0.5000
0.2100 0.4258 0.9242
0.3748 0.8275 0.9615
0.4258 0.2100 0.4242
0.5345 0.8036 0.4969
0.8036 0.5345 0.9969
0.8275 0.3748 0.4615
0.9908 0.0092 0.0000
0.1775 0.5934 0.4496
0.5934 0.1775 0.9496
0.0235 0.7025 0.6238
0.0818 0.3644 0.2646
0.1873 0.7406 0.2760
0.3644 0.0818 0.7647
0.4157 0.5591 0.6248
0.5591 0.4157 0.1248
0.7025 0.0235 0.1238
0.7406 0.1873 0.7760
```



For Tm5SiS4, a crystal structure in Alexandria, relaxed with GGA-PBE gives the calculated X-ray powder pattern in this record (Cu Kα X-rays).
Intensities are scaled so that the largest is 100.

The 6 most intense peaks (10° ≤ 2θ ≤ 80°), by intensity:
2θ = 28.04°, I 100
2θ = 32.44°, I 76
2θ = 46.65°, I 55
2θ = 32.59°, I 38
2θ = 55.21°, I 32
2θ = 57.96°, I 29

Cell and atoms:
```
Tm5SiS4
1.0
-4.3640 4.3640 2.7474
4.3640 -4.3640 2.7474
4.3640 4.3640 -2.7474
Tm Si S
5 1 4
Direct
0.0000 0.0000 0.0000
0.2027 0.5990 0.8016
0.4010 0.2027 0.6037
0.5990 0.7973 0.3963
0.7973 0.4010 0.1984
0.5000 0.5000 0.0000
0.0997 0.3023 0.4019
0.3023 0.9003 0.2026
0.6977 0.0997 0.7974
0.9003 0.6977 0.5981
```



For TmSi2S6, a crystal structure in Alexandria, relaxed with GGA-PBE gives the calculated X-ray powder pattern in this record (Cu Kα X-rays).
Intensities are scaled so that the largest is 100.

The 6 most intense peaks (10° ≤ 2θ ≤ 80°), by intensity:
2θ = 10.72°, I 100
2θ = 16.69°, I 53
2θ = 23.24°, I 50
2θ = 24.30°, I 44
2θ = 27.39°, I 35
2θ = 33.90°, I 34

Cell and atoms:
```
TmSi2S6
1.0
6.2198 -5.5958 0.0000
6.2198 5.5958 0.0000
-1.1947 0.0000 6.2388
Tm Si S
2 4 12
Direct
0.1203 0.8797 0.7500
0.8797 0.1203 0.2500
0.2095 0.3604 0.6829
0.3604 0.2095 0.1829
0.6396 0.7905 0.8171
0.7905 0.6396 0.3171
0.0322 0.1919 0.6469
0.1233 0.5808 0.8495
0.1919 0.0322 0.1469
0.2779 0.4246 0.3880
0.4192 0.8767 0.6505
0.4246 0.2779 0.8880
0.5754 0.7221 0.1120
0.5808 0.1233 0.3495
0.7221 0.5754 0.6120
0.8081 0.9678 0.8531
0.8767 0.4192 0.1505
0.9678 0.8081 0.3531
```